This entry pairs a crystal structure of Ta10O9 with its computed X-ray diffraction stick pattern. Radiation: CuKα. Structure: DFT lattice parameters and positions (PBE).

Peak list (10 most intense, 2θ = 15–90°, by angle)
27.75°, 3.214 Å, I 95; 35.49°, 2.530 Å, I 61; 38.17°, 2.358 Å, I 100; 39.33°, 2.291 Å, I 53; 41.50°, 2.176 Å, I 94; 51.33°, 1.780 Å, I 22; 53.61°, 1.709 Å, I 38; 61.20°, 1.514 Å, I 18; 63.14°, 1.472 Å, I 31; 75.14°, 1.264 Å, I 20

a = 16.161 Å, b = 16.161 Å, c = 5.231 Å
α = 93.56°, β = 93.56°, γ = 9.76°
Positions (direct):
1 Ta 0.000 0.000 0.000
2 Ta 0.102 0.102 0.683
3 Ta 0.207 0.207 0.408
4 Ta 0.300 0.300 0.081
5 Ta 0.398 0.398 0.788
6 Ta 0.500 0.500 0.496
7 Ta 0.602 0.602 0.181
8 Ta 0.714 0.714 0.896
9 Ta 0.788 0.788 0.585
10 Ta 0.899 0.899 0.292
11 O 0.049 0.049 0.342
12 O 0.168 0.168 0.708
13 O 0.354 0.354 0.467
14 O 0.450 0.450 0.148
15 O 0.549 0.549 0.842
16 O 0.666 0.666 0.204
17 O 0.752 0.752 0.245
18 O 0.848 0.848 0.942
19 O 0.947 0.947 0.631

This entry pairs a crystal structure of Ta2O5 with its computed X-ray diffraction stick pattern. Radiation: CuKα. Structure: DFT lattice parameters and positions (PBE).

Peak list (10 most intense, 2θ = 15–90°, by angle)
21.72°, 4.091 Å, I 100; 23.04°, 3.860 Å, I 92; 27.62°, 3.229 Å, I 57; 29.38°, 3.040 Å, I 33; 31.66°, 2.826 Å, I 27; 32.09°, 2.789 Å, I 27; 36.27°, 2.477 Å, I 39; 40.66°, 2.219 Å, I 20; 44.33°, 2.043 Å, I 17; 47.08°, 1.930 Å, I 29

a = 3.401 Å, b = 3.860 Å, c = 8.212 Å
α = 90.75°, β = 94.89°, γ = 90.12°
Positions (direct):
1 Ta 0.000 0.000 0.000
2 Ta 0.396 0.012 0.442
3 O 0.069 0.004 0.236
4 O 0.472 0.990 0.892
5 O 0.481 0.510 0.420
6 O 0.961 0.012 0.563
7 O 0.982 0.497 0.010

This entry pairs a crystal structure of Ta2O5 with its computed X-ray diffraction stick pattern. Radiation: CuKα. Structure: DFT lattice parameters and positions (PBE).

Peak list (10 most intense, 2θ = 15–90°, by angle)
23.01°, 3.866 Å, I 100; 24.06°, 3.699 Å, I 93; 25.31°, 3.519 Å, I 57; 30.10°, 2.969 Å, I 50; 33.35°, 2.687 Å, I 29; 33.72°, 2.658 Å, I 30; 38.71°, 2.326 Å, I 24; 47.03°, 1.932 Å, I 23; 47.43°, 1.917 Å, I 24; 55.47°, 1.657 Å, I 24

a = 3.834 Å, b = 3.869 Å, c = 21.220 Å
α = 92.31°, β = 95.17°, γ = 90.01°
Positions (direct):
1 Ta 0.000 0.000 0.000
2 Ta 0.079 0.050 0.181
3 Ta 0.300 0.123 0.624
4 Ta 0.403 0.172 0.805
5 Ta 0.647 0.068 0.312
6 Ta 0.738 0.102 0.493
7 O 0.046 0.020 0.090
8 O 0.058 0.546 0.184
9 O 0.125 0.065 0.286
10 O 0.241 0.106 0.519
11 O 0.278 0.625 0.621
12 O 0.357 0.151 0.715
13 O 0.410 0.675 0.821
14 O 0.489 0.998 0.980
15 O 0.585 0.051 0.206
16 O 0.617 0.569 0.310
17 O 0.712 0.602 0.494
18 O 0.717 0.086 0.402
19 O 0.781 0.120 0.598
20 O 0.913 0.174 0.825
21 O 0.990 0.498 0.985

This entry pairs a crystal structure of Ta2O7 with its computed X-ray diffraction stick pattern. Radiation: CuKα. Structure: DFT lattice parameters and positions (PBE).

Peak list (10 most intense, 2θ = 15–90°, by angle)
27.73°, 3.217 Å, I 100; 28.99°, 3.080 Å, I 100; 33.59°, 2.668 Å, I 30; 36.71°, 2.448 Å, I 22; 44.10°, 2.054 Å, I 34; 48.24°, 1.886 Å, I 46; 50.61°, 1.804 Å, I 31; 57.27°, 1.609 Å, I 45; 62.12°, 1.494 Å, I 21; 67.41°, 1.389 Å, I 24

a = 7.546 Å, b = 7.546 Å, c = 7.546 Å
α = 60.00°, β = 60.00°, γ = 60.00°
Positions (direct):
1 Ta 0.000 0.000 0.000
2 Ta 0.000 0.000 0.500
3 Ta 0.000 0.500 0.000
4 Ta 0.500 0.000 0.000
5 O 0.059 0.059 0.691
6 O 0.059 0.691 0.059
7 O 0.059 0.691 0.691
8 O 0.309 0.309 0.941
9 O 0.309 0.941 0.309
10 O 0.309 0.941 0.941
11 O 0.375 0.375 0.375
12 O 0.625 0.625 0.625
13 O 0.691 0.059 0.059
14 O 0.691 0.059 0.691
15 O 0.691 0.691 0.059
16 O 0.941 0.309 0.309
17 O 0.941 0.309 0.941
18 O 0.941 0.941 0.309

This entry pairs a crystal structure of Ta2O5 with its computed X-ray diffraction stick pattern. Radiation: CuKα. Structure: DFT lattice parameters and positions (PBE).

Peak list (10 most intense, 2θ = 15–90°, by angle)
24.29°, 3.665 Å, I 100; 26.40°, 3.377 Å, I 43; 28.31°, 3.152 Å, I 52; 29.84°, 2.995 Å, I 70; 32.86°, 2.726 Å, I 36; 34.90°, 2.571 Å, I 50; 46.78°, 1.942 Å, I 25; 49.88°, 1.828 Å, I 27; 53.13°, 1.724 Å, I 24; 54.00°, 1.698 Å, I 25

a = 6.928 Å, b = 6.928 Å, c = 5.599 Å
α = 102.29°, β = 102.29°, γ = 41.68°
Positions (direct):
1 Ta 0.105 0.613 0.731
2 Ta 0.387 0.895 0.769
3 Ta 0.613 0.105 0.231
4 Ta 0.895 0.387 0.269
5 O 0.109 0.891 0.750
6 O 0.136 0.273 0.628
7 O 0.273 0.136 0.128
8 O 0.338 0.438 0.017
9 O 0.438 0.338 0.517
10 O 0.562 0.662 0.483
11 O 0.662 0.562 0.983
12 O 0.727 0.864 0.872
13 O 0.864 0.727 0.372
14 O 0.891 0.109 0.250

This entry pairs a crystal structure of Ta2O5 with its computed X-ray diffraction stick pattern. Radiation: CuKα. Structure: DFT lattice parameters and positions (PBE).

Peak list (10 most intense, 2θ = 15–90°, by angle)
15.04°, 5.889 Å, I 42; 16.34°, 5.425 Å, I 27; 29.07°, 3.071 Å, I 63; 30.16°, 2.963 Å, I 100; 30.36°, 2.944 Å, I 48; 33.02°, 2.713 Å, I 26; 35.52°, 2.527 Å, I 53; 48.43°, 1.880 Å, I 19; 50.12°, 1.820 Å, I 25; 60.73°, 1.525 Å, I 17

a = 7.298 Å, b = 7.298 Å, c = 7.232 Å
α = 117.45°, β = 117.45°, γ = 57.98°
Positions (direct):
1 Ta 0.000 0.000 0.000
2 Ta 0.462 0.462 0.964
3 Ta 0.468 0.996 0.993
4 Ta 0.501 0.501 0.509
5 Ta 0.933 0.933 0.406
6 Ta 0.996 0.468 0.993
7 O 0.048 0.048 0.320
8 O 0.079 0.681 0.950
9 O 0.149 0.611 0.331
10 O 0.183 0.183 0.090
11 O 0.287 0.287 0.904
12 O 0.372 0.793 0.021
13 O 0.413 0.413 0.665
14 O 0.425 0.813 0.693
15 O 0.531 0.531 0.279
16 O 0.611 0.149 0.331
17 O 0.681 0.079 0.950
18 O 0.771 0.771 0.115
19 O 0.793 0.372 0.021
20 O 0.813 0.425 0.693
21 O 0.961 0.961 0.692

What did the fifth record say?
This entry pairs a crystal structure of Ta2O5 with its computed X-ray diffraction stick pattern. Radiation: CuKα. Structure: DFT lattice parameters and positions (PBE).

Peak list (10 most intense, 2θ = 15–90°, by angle)
24.29°, 3.665 Å, I 100; 26.40°, 3.377 Å, I 43; 28.31°, 3.152 Å, I 52; 29.84°, 2.995 Å, I 70; 32.86°, 2.726 Å, I 36; 34.90°, 2.571 Å, I 50; 46.78°, 1.942 Å, I 25; 49.88°, 1.828 Å, I 27; 53.13°, 1.724 Å, I 24; 54.00°, 1.698 Å, I 25

a = 6.928 Å, b = 6.928 Å, c = 5.599 Å
α = 102.29°, β = 102.29°, γ = 41.68°
Positions (direct):
1 Ta 0.105 0.613 0.731
2 Ta 0.387 0.895 0.769
3 Ta 0.613 0.105 0.231
4 Ta 0.895 0.387 0.269
5 O 0.109 0.891 0.750
6 O 0.136 0.273 0.628
7 O 0.273 0.136 0.128
8 O 0.338 0.438 0.017
9 O 0.438 0.338 0.517
10 O 0.562 0.662 0.483
11 O 0.662 0.562 0.983
12 O 0.727 0.864 0.872
13 O 0.864 0.727 0.372
14 O 0.891 0.109 0.250